# 1
Tb5Tl4: theoretical X-ray powder pattern (Cu Kα), based on a DFT-relaxed cell (PBE, OQMD).

Most intense lines, 10° ≤ 2θ ≤ 80°, by angle:
2θ = 26.64°, I = 8.6, (0 0 2)
2θ = 32.16°, I = 31.5, (2 1 1)
2θ = 32.92°, I = 100.0, (1 1 2)
2θ = 33.19°, I = 89.7, (3 0 0)
2θ = 42.46°, I = 13.2, (3 1 1)
2θ = 47.45°, I = 29.5, (2 2 2)
2θ = 50.63°, I = 8.9, (2 1 3)
2θ = 54.87°, I = 9.7, (0 0 4)
2θ = 59.13°, I = 24.8, (4 1 2)
2θ = 59.31°, I = 9.4, (3 3 0)
2θ = 62.24°, I = 11.7, (4 2 1)
2θ = 65.67°, I = 34.1, (3 0 4)

Structure:
Cell: 9.3494 9.3494 6.6929 Å, 90.00 90.00 120.00°
Space group P6_3/mcm (No. 193)
Unique sites:
Tb 0.0000 0.2891 0.2500 [6 per cell]
Tb 0.3333 0.6667 0.0000 [4 per cell]
Tl 0.0000 0.0000 0.0000 [2 per cell]
Tl 0.0000 0.3737 0.7500 [6 per cell]

***

# 2
TbTmTl4: theoretical X-ray powder pattern (Cu Kα), based on a DFT-relaxed cell (PBE, OQMD).

Most intense lines, 10° ≤ 2θ ≤ 80°, by angle:
2θ = 32.79°, I = 100.0, (1 1 3)
2θ = 37.08°, I = 16.7, (0 0 6)
2θ = 38.43°, I = 16.8, (0 2 0)
2θ = 38.61°, I = 16.6, (2 0 0)
2θ = 54.10°, I = 2.4, (1 0 8)
2θ = 54.47°, I = 11.2, (0 2 6)
2θ = 54.60°, I = 11.1, (2 0 6)
2θ = 55.61°, I = 11.7, (2 2 0)
2θ = 64.13°, I = 12.1, (1 1 9)
2θ = 65.96°, I = 13.7, (1 3 3)
2θ = 66.20°, I = 13.5, (3 1 3)
2θ = 68.74°, I = 11.2, (2 2 6)

Structure:
Cell: 4.664 4.685 14.548 Å, 90.00 90.00 90.00°
Space group Amm2 (No. 38)
Unique sites:
Tb 0.000 0.000 0.000 [2 per cell]
Tm 0.000 0.000 0.311 [2 per cell]
Tl 0.000 0.000 0.657 [2 per cell]
Tl 0.500 0.000 0.157 [2 per cell]
Tl 0.500 0.000 0.479 [2 per cell]
Tl 0.500 0.000 0.831 [2 per cell]